Record 1
# Ac2Pr2NdHo
Simulated powder X-ray diffraction pattern, CuKα. Input: a crystal structure in Alexandria, relaxed with GGA-PBE.
Neutral-atom scattering factors, no anomalous dispersion.

```
Ac2Pr2NdHo
1.0
7.3844 0.0000 0.0000
0.0000 5.9647 0.0000
0.0000 0.0000 10.2984
Ac Pr Nd Ho
4 4 2 2
Cartesian
0.0000 0.0000 0.0000
1.8461 2.9824 1.7950
3.6922 0.0000 0.0000
5.5383 2.9824 8.5033
1.8461 0.0000 3.5327
1.8461 2.9824 8.5187
5.5383 0.0000 6.7657
5.5383 2.9824 1.7797
0.0000 2.9824 5.1492
3.6922 2.9824 5.1492
1.8461 0.0000 6.8382
5.5383 0.0000 3.4602
```

Top 10 peaks for 2θ from 5° to 70°, in order of rising 2θ:
d_spacing, 2theta, I_rel
3.002, 29.76, 94
2.978, 30.01, 100
2.318, 38.85, 8
2.114, 42.77, 35
1.846, 49.37, 9
1.725, 53.10, 24
1.721, 53.21, 27
1.716, 53.38, 7
1.569, 58.86, 30
1.488, 62.43, 8

Record 2
# AcPr5NdHo2
Simulated powder X-ray diffraction pattern, CuKα. Input: a crystal structure in Alexandria, relaxed with GGA-PBE.
Neutral-atom scattering factors, no anomalous dispersion.

```
AcPr5NdHo2
1.0
2.8291 -12.2390 0.0000
2.8291 12.2390 0.0000
0.0000 0.0000 9.6233
Ac Pr Nd Ho
2 10 2 4
Cartesian
2.8291 9.7276 4.8116
2.8291 -9.7276 0.0000
2.8291 11.6344 1.6496
2.8291 9.6756 8.5827
2.8291 7.6322 1.9165
2.8291 6.3506 5.4794
2.8291 0.1837 3.7517
2.8291 -0.1837 8.5633
2.8291 -6.3506 0.6678
2.8291 -7.6322 6.7281
2.8291 -9.6756 3.7711
2.8291 -11.6344 6.4613
2.8291 5.7325 8.5873
2.8291 -5.7325 3.7756
2.8291 4.2227 2.4502
2.8291 2.7393 6.1057
2.8291 -2.7393 1.2941
2.8291 -4.2227 7.2618
```

Top 10 peaks for 2θ from 5° to 70°, in order of rising 2θ:
d_spacing, 2theta, I_rel
3.344, 26.66, 27
3.107, 28.73, 55
2.934, 30.47, 94
2.842, 31.48, 100
2.829, 31.63, 71
2.773, 32.29, 65
2.092, 43.25, 36
1.717, 53.36, 18
1.653, 55.60, 19
1.636, 56.23, 19

Record 3
# Ac2NdHoSb4
Simulated powder X-ray diffraction pattern, CuKα. Input: a crystal structure in Alexandria, relaxed with GGA-PBE.
Neutral-atom scattering factors, no anomalous dispersion.

```
Ac2NdHoSb4
1.0
8.0095 0.0000 0.0000
0.0000 4.6277 0.0000
-2.6700 0.0000 7.5526
Ac Nd Ho Sb
2 1 1 4
Cartesian
0.0000 0.0000 0.0000
4.0047 2.3138 0.0000
-1.3350 2.3138 3.7763
2.6697 0.0000 3.7763
0.0365 0.0000 5.5284
1.3704 2.3138 2.0469
3.9691 2.3138 5.5057
5.3030 0.0000 2.0242
```

Top 10 peaks for 2θ from 5° to 70°, in order of rising 2θ:
d_spacing, 2theta, I_rel
3.945, 22.54, 2
3.777, 23.56, 9
3.271, 27.27, 100
3.001, 29.77, 3
2.313, 38.94, 77
1.972, 46.02, 5
1.888, 48.19, 28
1.635, 56.25, 13
1.501, 61.82, 3
1.463, 63.61, 35

Record 4
# AcNdSmHo
Simulated powder X-ray diffraction pattern, CuKα. Input: a crystal structure in Alexandria, relaxed with GGA-PBE.
Neutral-atom scattering factors, no anomalous dispersion.

```
AcNdSmHo
1.0
3.7362 0.0000 0.0000
-1.8681 3.2357 0.0000
0.0000 0.0000 11.9446
Ac Nd Sm Ho
1 1 1 1
Cartesian
0.0000 0.0000 0.0000
0.0000 2.1571 3.1514
1.8681 1.0786 6.0735
0.0000 2.1571 8.8960
```

Top 10 peaks for 2θ from 5° to 70°, in order of rising 2θ:
d_spacing, 2theta, I_rel
3.123, 28.58, 55
2.986, 29.92, 35
2.845, 31.44, 100
2.511, 35.76, 30
1.922, 47.30, 16
1.868, 48.75, 28
1.696, 54.09, 20
1.603, 57.48, 8
1.584, 58.26, 32
1.562, 59.17, 17

Record 5
# AcTb4NdHo2
Simulated powder X-ray diffraction pattern, CuKα. Input: a crystal structure in Alexandria, relaxed with GGA-PBE.
Neutral-atom scattering factors, no anomalous dispersion.

```
AcTb4NdHo2
1.0
5.1152 0.0000 0.0000
0.0000 5.1467 0.0000
0.0000 0.0000 10.2051
Ac Tb Nd Ho
1 4 1 2
Cartesian
0.0000 0.0000 0.0000
0.0000 2.5733 2.6123
0.0000 2.5733 7.5928
2.5576 0.0000 2.6243
2.5576 0.0000 7.5808
2.5576 2.5733 5.1025
0.0000 0.0000 5.1025
2.5576 2.5733 0.0000
```

Top 10 peaks for 2θ from 5° to 70°, in order of rising 2θ:
d_spacing, 2theta, I_rel
3.418, 26.07, 1
2.957, 30.23, 100
2.573, 34.86, 17
2.554, 35.13, 34
1.813, 50.33, 24
1.806, 50.53, 12
1.550, 59.67, 15
1.543, 59.96, 14
1.540, 60.08, 14
1.478, 62.86, 12

Record 6
# AcNd4Ho2Tm
Simulated powder X-ray diffraction pattern, CuKα. Input: a crystal structure in Alexandria, relaxed with GGA-PBE.
Neutral-atom scattering factors, no anomalous dispersion.

```
AcNd4Ho2Tm
1.0
5.9529 0.0000 0.0000
0.0000 5.9529 0.0000
0.0000 0.0000 7.8554
Ac Nd Ho Tm
1 4 2 1
Cartesian
0.0000 0.0000 0.0000
0.0000 2.9764 2.1377
0.0000 2.9764 5.7176
2.9764 0.0000 2.1377
2.9764 0.0000 5.7176
0.0000 0.0000 3.9277
2.9764 2.9764 0.0000
2.9764 2.9764 3.9277
```

Top 10 peaks for 2θ from 5° to 70°, in order of rising 2θ:
d_spacing, 2theta, I_rel
3.710, 23.98, 2
2.976, 30.02, 57
2.872, 31.14, 100
2.105, 42.97, 22
1.964, 46.22, 9
1.698, 54.02, 43
1.639, 56.11, 18
1.488, 62.40, 7
1.472, 63.17, 1
1.436, 64.95, 11